1.
For Sc3In2Se6, DFT lattice parameters and positions (GGA-PBE) gives the theoretical X-ray powder pattern in this record (CuKα).

Structural model:
```
data_Sc3In2Se6
_chemical_formula_sum 'Sc3 In2 Se6'
_cell_length_a 6.7821
_cell_length_b 6.7821
_cell_length_c 7.5713
_cell_angle_alpha 98.60
_cell_angle_beta 98.60
_cell_angle_gamma 119.94
_symmetry_space_group_name_H-M 'P 1'
_symmetry_Int_Tables_number 1
loop_
_symmetry_equiv_pos_as_xyz
'x,y,z'
loop_
_atom_site_label
_atom_site_type_symbol
_atom_site_fract_x
_atom_site_fract_y
_atom_site_fract_z
Sc1 Sc 0.0000 0.0000 0.0000
Sc2 Sc 0.3321 0.6679 0.0000
Sc3 Sc 0.6679 0.3321 0.0000
In1 In 0.1665 0.8335 0.5000
In2 In 0.8335 0.1665 0.5000
Se1 Se 0.0674 0.4042 0.2127
Se2 Se 0.2602 0.2602 0.7910
Se3 Se 0.4042 0.0674 0.2127
Se4 Se 0.5958 0.9326 0.7873
Se5 Se 0.7398 0.7398 0.2090
Se6 Se 0.9326 0.5958 0.7873
```

Principal peaks in the range 10° ≤ 2θ ≤ 90°, by intensity:
2θ/deg, d/Å, intensity
31.11, 2.875, 100.0
42.71, 2.117, 34.0
46.36, 1.958, 33.9
56.89, 1.619, 17.0
76.33, 1.248, 14.0
70.99, 1.328, 10.4
33.55, 2.671, 9.9
64.86, 1.438, 9.5
83.40, 1.159, 9.4
15.62, 5.672, 7.7



2.
For Sm2ScIn3Se6, DFT lattice parameters and positions (GGA-PBE) gives the theoretical X-ray powder pattern in this record (CuKα).

Structural model:
```
data_Sm2ScIn3Se6
_chemical_formula_sum 'Sm2 Sc1 In3 Se6'
_cell_length_a 7.1669
_cell_length_b 7.1669
_cell_length_c 8.0624
_cell_angle_alpha 98.50
_cell_angle_beta 98.50
_cell_angle_gamma 119.90
_symmetry_space_group_name_H-M 'P 1'
_symmetry_Int_Tables_number 1
loop_
_symmetry_equiv_pos_as_xyz
'x,y,z'
loop_
_atom_site_label
_atom_site_type_symbol
_atom_site_fract_x
_atom_site_fract_y
_atom_site_fract_z
Sm1 Sm 0.1663 0.8337 0.0000
Sm2 Sm 0.8337 0.1663 0.0000
Sc1 Sc 0.5000 0.5000 0.0000
In1 In 0.0000 0.0000 0.5000
In2 In 0.3295 0.6705 0.5000
In3 In 0.6705 0.3295 0.5000
Se1 Se 0.1157 0.4311 0.7935
Se2 Se 0.2544 0.2544 0.2125
Se3 Se 0.4311 0.1157 0.7935
Se4 Se 0.5689 0.8843 0.2065
Se5 Se 0.7456 0.7456 0.7875
Se6 Se 0.8843 0.5689 0.2065
```

Principal peaks in the range 10° ≤ 2θ ≤ 90°, by intensity:
2θ/deg, d/Å, intensity
29.32, 3.046, 100.0
40.09, 2.249, 37.5
43.73, 2.070, 33.9
53.56, 1.711, 11.7
60.81, 1.523, 10.2
71.48, 1.320, 9.4
66.28, 1.410, 8.2
77.92, 1.226, 6.4
47.20, 1.926, 5.9
53.44, 1.714, 5.9



3.
For Sm2Sc2In3, DFT lattice parameters and positions (GGA-PBE) gives the theoretical X-ray powder pattern in this record (CuKα).

Structural model:
```
data_Sm2Sc2In3
_chemical_formula_sum 'Sm4 Sc4 In6'
_cell_length_a 4.6872
_cell_length_b 23.6034
_cell_length_c 3.2475
_cell_angle_alpha 90.00
_cell_angle_beta 90.00
_cell_angle_gamma 90.00
_symmetry_space_group_name_H-M 'P 1'
_symmetry_Int_Tables_number 1
loop_
_symmetry_equiv_pos_as_xyz
'x,y,z'
loop_
_atom_site_label
_atom_site_type_symbol
_atom_site_fract_x
_atom_site_fract_y
_atom_site_fract_z
Sm1 Sm 0.0000 0.0757 0.0000
Sm2 Sm 0.0000 0.9243 0.0000
Sm3 Sm 0.5000 0.4243 0.0000
Sm4 Sm 0.5000 0.5757 0.0000
Sc1 Sc 0.0000 0.2110 0.0000
Sc2 Sc 0.0000 0.7890 0.0000
Sc3 Sc 0.5000 0.2890 0.0000
Sc4 Sc 0.5000 0.7110 0.0000
In1 In 0.0000 0.3388 0.5000
In2 In 0.0000 0.5000 0.5000
In3 In 0.0000 0.6612 0.5000
In4 In 0.5000 0.0000 0.5000
In5 In 0.5000 0.1612 0.5000
In6 In 0.5000 0.8388 0.5000
```

Principal peaks in the range 10° ≤ 2θ ≤ 90°, by intensity:
2θ/deg, d/Å, intensity
33.79, 2.652, 100.0
32.72, 2.737, 85.6
35.86, 2.504, 62.7
53.55, 1.711, 38.9
26.80, 3.326, 35.0
38.41, 2.344, 34.3
61.80, 1.501, 22.4
67.01, 1.397, 20.5
66.53, 1.405, 13.6
41.34, 2.184, 11.1



4.
For Sm2ScIn9, DFT lattice parameters and positions (GGA-PBE) gives the theoretical X-ray powder pattern in this record (CuKα).

Structural model:
```
data_Sm2ScIn9
_chemical_formula_sum 'Sm2 Sc1 In9'
_cell_length_a 4.6399
_cell_length_b 4.6399
_cell_length_c 13.8665
_cell_angle_alpha 90.00
_cell_angle_beta 90.00
_cell_angle_gamma 90.00
_symmetry_space_group_name_H-M 'P 1'
_symmetry_Int_Tables_number 1
loop_
_symmetry_equiv_pos_as_xyz
'x,y,z'
loop_
_atom_site_label
_atom_site_type_symbol
_atom_site_fract_x
_atom_site_fract_y
_atom_site_fract_z
Sm1 Sm 0.0000 0.0000 0.1703
Sm2 Sm 0.0000 0.0000 0.8297
Sc1 Sc 0.0000 0.0000 0.5000
In1 In 0.0000 0.5000 0.0000
In2 In 0.0000 0.5000 0.3410
In3 In 0.0000 0.5000 0.6590
In4 In 0.5000 0.0000 0.0000
In5 In 0.5000 0.0000 0.3410
In6 In 0.5000 0.0000 0.6590
In7 In 0.5000 0.5000 0.1685
In8 In 0.5000 0.5000 0.5000
In9 In 0.5000 0.5000 0.8315
```

Principal peaks in the range 10° ≤ 2θ ≤ 90°, by intensity:
2θ/deg, d/Å, intensity
33.49, 2.675, 100.0
38.82, 2.320, 33.5
66.91, 1.398, 25.6
56.18, 1.637, 21.4
38.97, 2.311, 16.0
67.12, 1.395, 11.9
56.06, 1.640, 11.2
70.38, 1.338, 10.7
83.30, 1.160, 3.5
20.18, 4.400, 1.8



5.
For Sm5Sc4In4, DFT lattice parameters and positions (GGA-PBE) gives the theoretical X-ray powder pattern in this record (CuKα).

Structural model:
```
data_Sm5Sc4In4
_chemical_formula_sum 'Sm5 Sc4 In4'
_cell_length_a 9.0880
_cell_length_b 9.0880
_cell_length_c 9.0880
_cell_angle_alpha 94.01
_cell_angle_beta 94.01
_cell_angle_gamma 149.33
_symmetry_space_group_name_H-M 'P 1'
_symmetry_Int_Tables_number 1
loop_
_symmetry_equiv_pos_as_xyz
'x,y,z'
loop_
_atom_site_label
_atom_site_type_symbol
_atom_site_fract_x
_atom_site_fract_y
_atom_site_fract_z
Sm1 Sm 0.0000 0.0000 0.0000
Sm2 Sm 0.3036 0.6123 0.9159
Sm3 Sm 0.3877 0.3036 0.6913
Sm4 Sm 0.6123 0.6964 0.3087
Sm5 Sm 0.6964 0.3877 0.0841
Sc1 Sc 0.0958 0.4165 0.5123
Sc2 Sc 0.4165 0.9042 0.3207
Sc3 Sc 0.5835 0.0958 0.6793
Sc4 Sc 0.9042 0.5835 0.4877
In1 In 0.0796 0.7514 0.8310
In2 In 0.2486 0.0796 0.3282
In3 In 0.7514 0.9204 0.6718
In4 In 0.9204 0.2486 0.1690
```

Principal peaks in the range 10° ≤ 2θ ≤ 90°, by intensity:
2θ/deg, d/Å, intensity
32.01, 2.796, 100.0
35.21, 2.549, 58.9
32.30, 2.772, 46.1
28.49, 3.133, 43.9
24.51, 3.632, 35.8
37.41, 2.404, 34.5
50.24, 1.816, 26.6
10.09, 8.764, 21.1
36.98, 2.431, 14.9
61.54, 1.507, 12.9



6.
For SmSc2In9, DFT lattice parameters and positions (GGA-PBE) gives the theoretical X-ray powder pattern in this record (CuKα).

Structural model:
```
data_SmSc2In9
_chemical_formula_sum 'Sm1 Sc2 In9'
_cell_length_a 4.5853
_cell_length_b 4.5853
_cell_length_c 13.7079
_cell_angle_alpha 90.00
_cell_angle_beta 90.00
_cell_angle_gamma 90.00
_symmetry_space_group_name_H-M 'P 1'
_symmetry_Int_Tables_number 1
loop_
_symmetry_equiv_pos_as_xyz
'x,y,z'
loop_
_atom_site_label
_atom_site_type_symbol
_atom_site_fract_x
_atom_site_fract_y
_atom_site_fract_z
Sm1 Sm 0.0000 0.0000 0.0000
Sc1 Sc 0.0000 0.0000 0.3370
Sc2 Sc 0.0000 0.0000 0.6630
In1 In 0.0000 0.5000 0.1744
In2 In 0.0000 0.5000 0.5000
In3 In 0.0000 0.5000 0.8256
In4 In 0.5000 0.0000 0.1744
In5 In 0.5000 0.0000 0.5000
In6 In 0.5000 0.0000 0.8256
In7 In 0.5000 0.5000 0.0000
In8 In 0.5000 0.5000 0.3359
In9 In 0.5000 0.5000 0.6641
```

Principal peaks in the range 10° ≤ 2θ ≤ 90°, by intensity:
2θ/deg, d/Å, intensity
33.90, 2.644, 100.0
39.30, 2.293, 33.4
67.81, 1.382, 25.1
56.90, 1.618, 21.1
39.44, 2.285, 16.0
68.00, 1.379, 11.6
56.79, 1.621, 11.0
71.34, 1.322, 10.5
84.52, 1.146, 3.5
20.42, 4.348, 2.3



7.
For SrScIn, DFT lattice parameters and positions (GGA-PBE) gives the theoretical X-ray powder pattern in this record (CuKα).

Structural model:
```
data_SrScIn
_chemical_formula_sum 'Sr2 Sc2 In2'
_cell_length_a 5.3748
_cell_length_b 6.2823
_cell_length_c 6.8214
_cell_angle_alpha 62.81
_cell_angle_beta 67.71
_cell_angle_gamma 69.18
_symmetry_space_group_name_H-M 'P 1'
_symmetry_Int_Tables_number 1
loop_
_symmetry_equiv_pos_as_xyz
'x,y,z'
loop_
_atom_site_label
_atom_site_type_symbol
_atom_site_fract_x
_atom_site_fract_y
_atom_site_fract_z
Sr1 Sr 0.1728 0.2339 0.4159
Sr2 Sr 0.8272 0.7661 0.5841
Sc1 Sc 0.4042 0.3036 0.8279
Sc2 Sc 0.5958 0.6964 0.1721
In1 In 0.1767 0.7839 0.9409
In2 In 0.8233 0.2161 0.0591
```

Principal peaks in the range 10° ≤ 2θ ≤ 90°, by intensity:
2θ/deg, d/Å, intensity
32.31, 2.771, 100.0
30.58, 2.923, 76.8
31.29, 2.859, 67.3
32.87, 2.725, 53.5
33.45, 2.679, 53.3
19.22, 4.618, 30.7
45.62, 1.989, 26.3
15.13, 5.858, 20.3
35.68, 2.516, 16.5
49.51, 1.841, 14.0



8.
For ScTaIn2, DFT lattice parameters and positions (GGA-PBE) gives the theoretical X-ray powder pattern in this record (CuKα).

Structural model:
```
data_ScTaIn2
_chemical_formula_sum 'Sc2 Ta2 In4'
_cell_length_a 6.1027
_cell_length_b 8.8202
_cell_length_c 3.0651
_cell_angle_alpha 90.00
_cell_angle_beta 90.00
_cell_angle_gamma 90.00
_symmetry_space_group_name_H-M 'P 1'
_symmetry_Int_Tables_number 1
loop_
_symmetry_equiv_pos_as_xyz
'x,y,z'
loop_
_atom_site_label
_atom_site_type_symbol
_atom_site_fract_x
_atom_site_fract_y
_atom_site_fract_z
Sc1 Sc 0.0000 0.0000 0.0000
Sc2 Sc 0.5000 0.5000 0.0000
Ta1 Ta 0.0000 0.5000 0.0000
Ta2 Ta 0.5000 0.0000 0.0000
In1 In 0.2500 0.2500 0.5000
In2 In 0.2500 0.7500 0.5000
In3 In 0.7500 0.2500 0.5000
In4 In 0.7500 0.7500 0.5000
```

Principal peaks in the range 10° ≤ 2θ ≤ 90°, by intensity:
2θ/deg, d/Å, intensity
35.67, 2.517, 100.0
35.78, 2.509, 99.1
41.77, 2.162, 64.1
17.67, 5.019, 46.1
59.91, 1.544, 43.1
40.93, 2.205, 34.0
72.23, 1.308, 24.5
72.44, 1.305, 24.3
34.28, 2.616, 18.9
71.12, 1.326, 15.3



9.
For Tb4Sc5In, DFT lattice parameters and positions (GGA-PBE) gives the theoretical X-ray powder pattern in this record (CuKα).

Structural model:
```
data_Tb4Sc5In
_chemical_formula_sum 'Tb4 Sc5 In1'
_cell_length_a 7.6908
_cell_length_b 7.6908
_cell_length_c 7.6908
_cell_angle_alpha 97.37
_cell_angle_beta 97.37
_cell_angle_gamma 138.03
_symmetry_space_group_name_H-M 'P 1'
_symmetry_Int_Tables_number 1
loop_
_symmetry_equiv_pos_as_xyz
'x,y,z'
loop_
_atom_site_label
_atom_site_type_symbol
_atom_site_fract_x
_atom_site_fract_y
_atom_site_fract_z
Tb1 Tb 0.0000 0.3127 0.3127
Tb2 Tb 0.0000 0.6873 0.6873
Tb3 Tb 0.3127 0.0000 0.3127
Tb4 Tb 0.6873 0.0000 0.6873
Sc1 Sc 0.3097 0.3097 0.6318
Sc2 Sc 0.3097 0.6779 0.0000
Sc3 Sc 0.6779 0.3097 0.0000
Sc4 Sc 0.6779 0.6779 0.3682
Sc5 Sc 0.7679 0.7679 0.0000
In1 In 0.2560 0.2560 0.0000
```

Principal peaks in the range 10° ≤ 2θ ≤ 90°, by intensity:
2θ/deg, d/Å, intensity
31.01, 2.884, 100.0
25.42, 3.504, 49.0
37.58, 2.394, 39.9
57.07, 1.614, 32.3
41.31, 2.185, 20.7
63.76, 1.460, 17.3
34.89, 2.572, 16.7
32.51, 2.754, 15.3
27.78, 3.211, 15.2
50.52, 1.807, 15.0



10.
For TbSc5In6, DFT lattice parameters and positions (GGA-PBE) gives the theoretical X-ray powder pattern in this record (CuKα).

Structural model:
```
data_TbSc5In6
_chemical_formula_sum 'Tb1 Sc5 In6'
_cell_length_a 8.5027
_cell_length_b 8.5027
_cell_length_c 8.5027
_cell_angle_alpha 148.44
_cell_angle_beta 118.51
_cell_angle_gamma 70.77
_symmetry_space_group_name_H-M 'P 1'
_symmetry_Int_Tables_number 1
loop_
_symmetry_equiv_pos_as_xyz
'x,y,z'
loop_
_atom_site_label
_atom_site_type_symbol
_atom_site_fract_x
_atom_site_fract_y
_atom_site_fract_z
Tb1 Tb 0.0000 0.0000 0.0000
Sc1 Sc 0.1688 0.6688 0.5000
Sc2 Sc 0.3321 0.3321 0.0000
Sc3 Sc 0.5000 0.0000 0.5000
Sc4 Sc 0.6679 0.6679 0.0000
Sc5 Sc 0.8312 0.3312 0.5000
In1 In 0.0842 0.8312 0.2530
In2 In 0.2562 0.5000 0.7562
In3 In 0.4219 0.1688 0.2530
In4 In 0.5781 0.8312 0.7470
In5 In 0.7438 0.5000 0.2438
In6 In 0.9158 0.1688 0.7470
```

Principal peaks in the range 10° ≤ 2θ ≤ 90°, by intensity:
2θ/deg, d/Å, intensity
34.32, 2.613, 100.0
38.96, 2.312, 35.3
67.61, 1.386, 25.9
58.27, 1.583, 21.0
41.55, 2.173, 14.4
56.28, 1.635, 11.7
71.18, 1.325, 10.9
72.33, 1.306, 10.5
27.28, 3.269, 7.8
20.43, 4.347, 7.7



11.
For Tb6Sc3In, DFT lattice parameters and positions (GGA-PBE) gives the theoretical X-ray powder pattern in this record (CuKα).

Structural model:
```
data_Tb6Sc3In
_chemical_formula_sum 'Tb12 Sc6 In2'
_cell_length_a 12.4652
_cell_length_b 3.4063
_cell_length_c 13.7690
_cell_angle_alpha 90.00
_cell_angle_beta 100.16
_cell_angle_gamma 90.00
_symmetry_space_group_name_H-M 'P 1'
_symmetry_Int_Tables_number 1
loop_
_symmetry_equiv_pos_as_xyz
'x,y,z'
loop_
_atom_site_label
_atom_site_type_symbol
_atom_site_fract_x
_atom_site_fract_y
_atom_site_fract_z
Tb1 Tb 0.0074 0.2500 0.3118
Tb2 Tb 0.1564 0.2500 0.8851
Tb3 Tb 0.2440 0.7500 0.3036
Tb4 Tb 0.2750 0.7500 0.7156
Tb5 Tb 0.3117 0.7500 0.0771
Tb6 Tb 0.3808 0.2500 0.5274
Tb7 Tb 0.6192 0.7500 0.4726
Tb8 Tb 0.6883 0.2500 0.9229
Tb9 Tb 0.7250 0.2500 0.2844
Tb10 Tb 0.7560 0.2500 0.6964
Tb11 Tb 0.8436 0.7500 0.1149
Tb12 Tb 0.9926 0.7500 0.6882
Sc1 Sc 0.0776 0.2500 0.0954
Sc2 Sc 0.1271 0.7500 0.5019
Sc3 Sc 0.4269 0.2500 0.8997
Sc4 Sc 0.5731 0.7500 0.1003
Sc5 Sc 0.8729 0.2500 0.4981
Sc6 Sc 0.9224 0.7500 0.9046
In1 In 0.4669 0.2500 0.2767
In2 In 0.5331 0.7500 0.7233
```

Principal peaks in the range 10° ≤ 2θ ≤ 90°, by intensity:
2θ/deg, d/Å, intensity
32.25, 2.775, 100.0
31.30, 2.858, 93.7
32.95, 2.718, 92.9
33.05, 2.711, 76.8
34.15, 2.626, 73.9
38.48, 2.339, 65.5
34.26, 2.617, 57.9
51.18, 1.785, 35.9
53.83, 1.703, 31.0
39.22, 2.297, 28.9



12.
For Tb3Sc2In3, DFT lattice parameters and positions (GGA-PBE) gives the theoretical X-ray powder pattern in this record (CuKα).

Structural model:
```
data_Tb3Sc2In3
_chemical_formula_sum 'Tb6 Sc4 In6'
_cell_length_a 4.3701
_cell_length_b 4.8190
_cell_length_c 19.9417
_cell_angle_alpha 90.00
_cell_angle_beta 90.00
_cell_angle_gamma 90.00
_symmetry_space_group_name_H-M 'P 1'
_symmetry_Int_Tables_number 1
loop_
_symmetry_equiv_pos_as_xyz
'x,y,z'
loop_
_atom_site_label
_atom_site_type_symbol
_atom_site_fract_x
_atom_site_fract_y
_atom_site_fract_z
Tb1 Tb 0.0000 0.0000 0.0000
Tb2 Tb 0.0000 0.5000 0.1228
Tb3 Tb 0.0000 0.5000 0.8772
Tb4 Tb 0.5000 0.0000 0.3772
Tb5 Tb 0.5000 0.0000 0.6228
Tb6 Tb 0.5000 0.5000 0.5000
Sc1 Sc 0.0000 0.0000 0.2419
Sc2 Sc 0.0000 0.0000 0.7581
Sc3 Sc 0.5000 0.5000 0.2581
Sc4 Sc 0.5000 0.5000 0.7419
In1 In 0.0000 0.0000 0.5000
In2 In 0.0000 0.5000 0.3646
In3 In 0.0000 0.5000 0.6354
In4 In 0.5000 0.0000 0.1354
In5 In 0.5000 0.0000 0.8646
In6 In 0.5000 0.5000 0.0000
```

Principal peaks in the range 10° ≤ 2θ ≤ 90°, by intensity:
2θ/deg, d/Å, intensity
32.99, 2.715, 100.0
36.03, 2.493, 18.4
37.32, 2.410, 18.2
64.58, 1.443, 13.9
41.32, 2.185, 13.7
62.86, 1.478, 12.6
52.85, 1.732, 12.0
70.07, 1.343, 10.8
29.02, 3.077, 10.6
69.21, 1.358, 10.5



13.
For Sc5In2Tc, DFT lattice parameters and positions (GGA-PBE) gives the theoretical X-ray powder pattern in this record (CuKα).

Structural model:
```
data_Sc5In2Tc
_chemical_formula_sum 'Sc10 In4 Tc2'
_cell_length_a 4.9006
_cell_length_b 4.9006
_cell_length_c 14.2031
_cell_angle_alpha 90.00
_cell_angle_beta 90.00
_cell_angle_gamma 90.00
_symmetry_space_group_name_H-M 'P 1'
_symmetry_Int_Tables_number 1
loop_
_symmetry_equiv_pos_as_xyz
'x,y,z'
loop_
_atom_site_label
_atom_site_type_symbol
_atom_site_fract_x
_atom_site_fract_y
_atom_site_fract_z
Sc1 Sc 0.0000 0.0000 0.0000
Sc2 Sc 0.0000 0.5000 0.1164
Sc3 Sc 0.0000 0.5000 0.3836
Sc4 Sc 0.0000 0.5000 0.6164
Sc5 Sc 0.0000 0.5000 0.8836
Sc6 Sc 0.5000 0.0000 0.1164
Sc7 Sc 0.5000 0.0000 0.3836
Sc8 Sc 0.5000 0.0000 0.6164
Sc9 Sc 0.5000 0.0000 0.8836
Sc10 Sc 0.5000 0.5000 0.5000
In1 In 0.0000 0.0000 0.2493
In2 In 0.0000 0.0000 0.7507
In3 In 0.5000 0.5000 0.2507
In4 In 0.5000 0.5000 0.7493
Tc1 Tc 0.0000 0.0000 0.5000
Tc2 Tc 0.5000 0.5000 0.0000
```

Principal peaks in the range 10° ≤ 2θ ≤ 90°, by intensity:
2θ/deg, d/Å, intensity
36.22, 2.480, 100.0
36.68, 2.450, 49.0
65.75, 1.420, 31.7
52.84, 1.733, 16.8
64.85, 1.438, 15.9
25.71, 3.465, 15.7
76.88, 1.240, 9.5
25.08, 3.551, 8.7
51.47, 1.775, 8.3
44.95, 2.017, 7.6



14.
For ScIn4Te, DFT lattice parameters and positions (GGA-PBE) gives the theoretical X-ray powder pattern in this record (CuKα).

Structural model:
```
data_ScIn4Te
_chemical_formula_sum 'Sc1 In4 Te1'
_cell_length_a 6.0672
_cell_length_b 6.0672
_cell_length_c 6.0672
_cell_angle_alpha 60.00
_cell_angle_beta 60.00
_cell_angle_gamma 60.00
_symmetry_space_group_name_H-M 'P 1'
_symmetry_Int_Tables_number 1
loop_
_symmetry_equiv_pos_as_xyz
'x,y,z'
loop_
_atom_site_label
_atom_site_type_symbol
_atom_site_fract_x
_atom_site_fract_y
_atom_site_fract_z
Sc1 Sc 0.0000 0.0000 0.0000
In1 In 0.3743 0.3743 0.3743
In2 In 0.3743 0.3743 0.8771
In3 In 0.3743 0.8771 0.3743
In4 In 0.8771 0.3743 0.3743
Te1 Te 0.7500 0.7500 0.7500
```

Principal peaks in the range 10° ≤ 2θ ≤ 90°, by intensity:
2θ/deg, d/Å, intensity
34.67, 2.587, 100.0
36.27, 2.477, 52.0
55.66, 1.651, 33.1
61.10, 1.517, 29.2
17.91, 4.954, 20.8
87.28, 1.117, 20.6
73.17, 1.294, 19.0
29.44, 3.034, 17.3
72.20, 1.308, 11.1
42.13, 2.145, 10.2